Calculated powder XRD pattern
Compound: CrNi2P
Radiation: Cu Kα
Structure: a structure optimized by DFT (GGA-PBE)
Lines closer than 0.1° are merged.

Structure:
```
data_CrNi2P
_symmetry_space_group_name_H-M 'I 4/m m m'
_symmetry_Int_Tables_number 139
_symmetry_space_group_name_Hall '-I 4 2'
_cell_length_a 3.5271
_cell_length_b 3.5271
_cell_length_c 7.3047
_cell_angle_alpha 90.00
_cell_angle_beta 90.00
_cell_angle_gamma 90.00
loop_
_atom_site_label
_atom_site_type_symbol
_atom_site_fract_x
_atom_site_fract_y
_atom_site_fract_z
Cr1 Cr 0.0000 0.0000 0.0000
Ni1 Ni 0.0000 0.5000 0.2500
P1 P 0.0000 0.0000 0.5000
```

Main lines, in order of rising 2θ (10 to 90 degrees two-theta):
| Position (°2θ) | I/Imax | hkl |
| --- | --- | --- |
| 24.37 | 5.3 | 0 0 2 |
| 28.09 | 4.1 | 1 0 1 |
| 36.01 | 4.2 | 1 1 0 |
| 43.96 | 100.0 | 1 1 2 |
| 49.94 | 16.7 | 0 0 4 |
| 51.84 | 29.6 | 2 0 0 |
| 58.08 | 2.1 | 2 0 2 |
| 74.85 | 18.2 | 2 0 4 |
| 76.37 | 8.6 | 2 2 0 |
| 89.60 | 11.4 | 1 1 6 |



Calculated powder XRD pattern
Compound: SrNdGaCuO5
Radiation: Cu Kα
Structure: a structure optimized by DFT (GGA-PBE)
Lines closer than 0.1° are merged.

Structure:
```
data_SrNdGaCuO5
_symmetry_space_group_name_H-M 'C 1 m 1'
_symmetry_Int_Tables_number 8
_symmetry_space_group_name_Hall 'C -2y'
_cell_length_a 7.7429
_cell_length_b 16.4197
_cell_length_c 5.3556
_cell_angle_alpha 90.00
_cell_angle_beta 133.55
_cell_angle_gamma 90.00
loop_
_atom_site_label
_atom_site_type_symbol
_atom_site_fract_x
_atom_site_fract_y
_atom_site_fract_z
Sr1 Sr 0.0000 0.1392 0.0000
Nd1 Nd 0.4561 0.1485 0.9498
Ga1 Ga 0.0546 0.5000 0.5323
Ga2 Ga 0.4242 0.5000 0.3917
Cu1 Cu 0.4776 0.2502 0.4770
O1 O 0.0660 0.0979 0.6037
O2 O 0.1072 0.5000 0.2231
O3 O 0.2248 0.2586 0.4719
O4 O 0.2314 0.2551 0.9786
O5 O 0.3653 0.5000 0.9835
O6 O 0.4334 0.1003 0.4932
```

Main lines, in order of rising 2θ (10 to 90 degrees two-theta):
| Position (°2θ) | I/Imax | hkl |
| --- | --- | --- |
| 10.78 | 12.1 | 0 2 0 |
| 22.69 | 11.1 | 1 3 0 |
| 31.76 | 100.0 | 0 4 1 |
| 31.90 | 29.4 | 2 0 0 |
| 33.46 | 31.2 | 2 0 -2 |
| 40.35 | 20.3 | 2 6 -1 |
| 44.12 | 10.7 | 0 8 0 |
| 46.81 | 13.0 | 0 0 2 |
| 46.99 | 13.5 | 4 0 -2 |
| 58.69 | 9.8 | 2 4 -3 |



Calculated powder XRD pattern
Compound: Hg5Te4S
Radiation: Cu Kα
Structure: a structure optimized by DFT (GGA-PBE)
Lines closer than 0.1° are merged.

Structure:
```
data_Hg5Te4S
_symmetry_space_group_name_H-M 'R 3 m'
_symmetry_Int_Tables_number 160
_symmetry_space_group_name_Hall 'R 3 -2"'
_cell_length_a 4.6145
_cell_length_b 4.6145
_cell_length_c 56.4508
_cell_angle_alpha 90.00
_cell_angle_beta 90.00
_cell_angle_gamma 120.00
loop_
_atom_site_label
_atom_site_type_symbol
_atom_site_fract_x
_atom_site_fract_y
_atom_site_fract_z
Hg1 Hg 0.0000 0.0000 0.0000
Hg2 Hg 0.0000 0.0000 0.1954
Hg3 Hg 0.0000 0.0000 0.4021
Hg4 Hg 0.0000 0.0000 0.5977
Hg5 Hg 0.0000 0.0000 0.7931
Te1 Te 0.0000 0.0000 0.0505
Te2 Te 0.0000 0.0000 0.2461
Te3 Te 0.0000 0.0000 0.6483
Te4 Te 0.0000 0.0000 0.8440
S1 S 0.0000 0.0000 0.4480
```

Main lines, in order of rising 2θ (10 to 90 degrees two-theta):
| Position (°2θ) | I/Imax | hkl |
| --- | --- | --- |
| 23.62 | 100.0 | 0 1 5 |
| 27.34 | 8.6 | 1 0 10 |
| 39.05 | 72.3 | 1 1 0 |
| 46.15 | 48.0 | 2 0 5 |
| 56.42 | 11.6 | 2 0 20 |
| 62.01 | 18.9 | 1 2 5 |
| 70.75 | 22.5 | 3 0 0 |
| 75.76 | 13.1 | 3 0 15 |
| 83.89 | 6.9 | 2 2 0 |
| 88.71 | 13.1 | 3 1 5 |



Calculated powder XRD pattern
Compound: LiCaTl2Cd
Radiation: Cu Kα
Structure: a structure optimized by DFT (GGA-PBE)
Lines closer than 0.1° are merged.

Structure:
```
data_LiCaTl2Cd
_symmetry_space_group_name_H-M 'P m m a'
_symmetry_Int_Tables_number 51
_symmetry_space_group_name_Hall '-P 2a 2a'
_cell_length_a 5.9764
_cell_length_b 6.8805
_cell_length_c 6.3244
_cell_angle_alpha 90.00
_cell_angle_beta 90.00
_cell_angle_gamma 90.00
loop_
_atom_site_label
_atom_site_type_symbol
_atom_site_fract_x
_atom_site_fract_y
_atom_site_fract_z
Li1 Li 0.0000 0.0000 0.0000
Ca1 Ca 0.2500 0.5000 0.2344
Tl1 Tl 0.2500 0.2661 0.7429
Cd1 Cd 0.2500 0.0000 0.3637
```

Main lines, in order of rising 2θ (10 to 90 degrees two-theta):
| Position (°2θ) | I/Imax | hkl |
| --- | --- | --- |
| 20.45 | 42.6 | 1 0 1 |
| 28.22 | 28.1 | 0 0 2 |
| 29.90 | 36.5 | 2 0 0 |
| 33.22 | 100.0 | 1 2 1 |
| 38.68 | 13.8 | 0 2 2 |
| 41.59 | 24.8 | 2 0 2 |
| 45.63 | 13.3 | 1 0 3 |
| 49.64 | 13.0 | 2 2 2 |
| 53.22 | 20.6 | 0 4 0 |
| 55.23 | 23.1 | 3 2 1 |